Starting from a cell relaxed with GGA+U, the powder X-ray diffraction pattern of BaSrEuWO6 was simulated for Cu Ka.
Lines closer than 0.1° are merged.

Structural model:
abc: 8.551 8.556 8.585
angles: 90.00 90.00 90.00
Space group P222 (No. 16)
One atom of each set of equivalent atoms:
Ba 0.000 0.000 0.000
Ba 0.000 0.000 0.500
Ba 0.000 0.500 0.000
Ba 0.500 0.500 0.500
Sr 0.000 0.500 0.500
Sr 0.500 0.000 0.000
Sr 0.500 0.000 0.500
Sr 0.500 0.500 0.000
Eu 0.253 0.251 0.750
W 0.254 0.249 0.250
O 0.026 0.272 0.222
O 0.218 0.292 0.474
O 0.225 0.023 0.275
O 0.287 0.214 0.025
O 0.292 0.474 0.213
O 0.477 0.215 0.295

Main lines, in order of rising 2θ (2θ = 10–90°):
| 2θ/deg | I_rel | h k l |
| --- | --- | --- |
| 29.5 | 100.0 | 2 0 2 |
| 42.3 | 17.7 | 0 4 0 |
| 52.3 | 28.8 | 2 4 2 |
| 52.4 | 14.3 | 4 2 2 |
| 69.5 | 12.3 | 0 6 2 |
| 84.7 | 11.3 | 4 6 2 |



Starting from a cell relaxed with GGA+U, the powder X-ray diffraction pattern of BaSrEuWO6 was simulated for Cu Ka.
Lines closer than 0.1° are merged.

Structural model:
abc: 8.661 8.661 8.661
angles: 90.00 90.00 90.00
Space group F-43m (No. 216)
One atom of each set of equivalent atoms:
Ba 0.000 0.000 0.000
Sr 0.250 0.250 0.250
Eu 0.000 0.000 0.500
W 0.250 0.250 0.750
O 0.025 0.250 0.750

Main lines, in order of rising 2θ (2θ = 10–90°):
| 2θ/deg | I_rel | h k l |
| --- | --- | --- |
| 29.2 | 100.0 | 2 2 0 |
| 41.7 | 28.7 | 4 0 0 |
| 51.7 | 40.6 | 4 2 2 |
| 60.5 | 18.1 | 4 4 0 |
| 68.5 | 18.8 | 6 2 0 |
| 83.5 | 22.1 | 6 4 2 |



Starting from a cell relaxed with GGA+U, the powder X-ray diffraction pattern of BaSrEuWO6 was simulated for Cu Ka.
Lines closer than 0.1° are merged.

Structural model:
abc: 8.573 8.632 8.644
angles: 90.00 90.00 90.00
Space group Pnnn (No. 48, origin choice 2)
One atom of each set of equivalent atoms:
Ba 0.250 0.250 0.250
Ba 0.250 0.750 0.250
Sr 0.000 0.000 0.000
Eu 0.250 0.250 0.750
Eu 0.250 0.750 0.750
W 0.000 0.000 0.500
O 0.039 0.050 0.720
O 0.046 0.720 0.957
O 0.222 0.032 0.460

Main lines, in order of rising 2θ (2θ = 10–90°):
| 2θ/deg | I_rel | h k l |
| --- | --- | --- |
| 29.2 | 51.7 | 0 2 2 |
| 29.4 | 100.0 | 2 2 0 |
| 41.8 | 26.1 | 0 4 0 |
| 51.9 | 44.5 | 2 4 2 |
| 52.1 | 22.4 | 4 2 2 |
| 60.9 | 15.6 | 4 4 0 |



Starting from a cell relaxed with GGA+U, the powder X-ray diffraction pattern of BaSrEuWO6 was simulated for Cu Ka.
Lines closer than 0.1° are merged.

Structural model:
abc: 6.016 6.016 8.781
angles: 90.00 90.00 90.00
Space group P42_12 (No. 90)
One atom of each set of equivalent atoms:
Ba 0.000 0.000 0.000
Sr 0.000 0.500 0.250
Eu 0.000 0.000 0.500
W 0.000 0.500 0.740
O 0.000 0.500 0.518
O 0.000 0.500 0.967
O 0.149 0.790 0.738

Main lines, in order of rising 2θ (2θ = 10–90°):
| 2θ/deg | I_rel | h k l |
| --- | --- | --- |
| 29.2 | 100.0 | 1 1 2 |
| 29.7 | 55.6 | 2 0 0 |
| 42.5 | 25.3 | 2 2 0 |
| 51.5 | 23.0 | 2 0 4 |
| 52.4 | 44.6 | 3 1 2 |
| 60.6 | 16.6 | 2 2 4 |



Starting from a cell relaxed with GGA+U, the powder X-ray diffraction pattern of BaSrEuWO6 was simulated for Cu Ka.
Lines closer than 0.1° are merged.

Structural model:
abc: 8.704 8.704 8.704
angles: 90.00 90.00 90.00
Space group F-43m (No. 216)
One atom of each set of equivalent atoms:
Ba 0.000 0.000 0.000
Sr 0.000 0.000 0.500
Eu 0.250 0.250 0.250
W 0.250 0.250 0.750
O 0.023 0.250 0.750

Main lines, in order of rising 2θ (2θ = 10–90°):
| 2θ/deg | I_rel | h k l |
| --- | --- | --- |
| 29.0 | 100.0 | 2 2 0 |
| 41.5 | 29.0 | 4 0 0 |
| 51.4 | 40.9 | 4 2 2 |
| 60.1 | 18.3 | 4 4 0 |
| 68.1 | 18.8 | 6 2 0 |
| 83.0 | 22.1 | 6 4 2 |



Starting from a cell relaxed with GGA+U, the powder X-ray diffraction pattern of BaTbEuVO6 was simulated for Cu Ka.
Lines closer than 0.1° are merged.

Structural model:
abc: 8.300 8.300 8.300
angles: 90.00 90.00 90.00
Space group F-43m (No. 216)
One atom of each set of equivalent atoms:
Ba 0.000 0.000 0.000
Tb 0.250 0.250 0.750
Eu 0.000 0.000 0.500
V 0.250 0.250 0.250
O 0.019 0.250 0.250

Main lines, in order of rising 2θ (2θ = 10–90°):
| 2θ/deg | I_rel | h k l |
| --- | --- | --- |
| 30.5 | 100.0 | 2 2 0 |
| 43.6 | 29.7 | 4 0 0 |
| 54.1 | 39.4 | 4 2 2 |
| 63.4 | 18.2 | 4 4 0 |
| 72.0 | 17.8 | 6 2 0 |
| 88.1 | 21.5 | 6 4 2 |